Entry 1:
The following is a calculated powder diffraction line list of La2Si3. It was derived from the PBE geometry in the Materials Project, using Cu Kα (weighted mean of Kα1 and Kα2).

Most intense lines, 15° ≤ 2θ ≤ 90°, most intense first:
32.9 deg, rel. 100
27.8 deg, rel. 34
24.7 deg, rel. 28
23.1 deg, rel. 26
21.5 deg, rel. 25
38.5 deg, rel. 21
49.0 deg, rel. 21
29.0 deg, rel. 20
37.5 deg, rel. 18
41.8 deg, rel. 16

Structural model:
```
La2Si3
1.0
-2.000 2.162 7.212
2.000 -2.162 7.212
2.000 2.162 -7.212
La Si
2 3
Direct
0.000 0.000 0.000 La
0.750 0.250 0.500 La
0.166 0.666 0.500 Si
0.328 0.828 0.500 Si
0.421 0.421 0.000 Si
```

=====

Entry 2:
The following is a calculated powder diffraction line list of CaS2O10. It was derived from the PBE geometry in the Materials Project, using Cu Kα (weighted mean of Kα1 and Kα2).

Most intense lines, 15° ≤ 2θ ≤ 90°, most intense first:
18.5 deg, rel. 100
31.2 deg, rel. 30
16.1 deg, rel. 29
26.1 deg, rel. 26
31.0 deg, rel. 20
31.8 deg, rel. 17
22.0 deg, rel. 16
52.8 deg, rel. 15
27.0 deg, rel. 13
44.2 deg, rel. 12

Structural model:
```
CaS2O10
1.0
6.722 0.000 0.000
-3.361 5.821 0.000
0.000 0.000 16.892
Ca S O
3 6 30
Direct
0.000 0.000 0.000 Ca
0.000 0.000 0.333 Ca
0.000 0.000 0.667 Ca
0.093 0.400 0.168 S
0.307 0.907 0.501 S
0.400 0.307 0.834 S
0.600 0.693 0.834 S
0.693 0.093 0.501 S
0.907 0.600 0.168 S
0.007 0.752 0.238 O
0.026 0.261 0.094 O
0.185 0.502 0.669 O
0.185 0.683 0.676 O
0.235 0.974 0.428 O
0.239 0.668 0.506 O
0.248 0.255 0.904 O
0.255 0.007 0.571 O
0.261 0.235 0.761 O
0.317 0.502 0.343 O
0.317 0.815 0.002 O
0.332 0.572 0.172 O
0.428 0.761 0.839 O
0.498 0.683 0.336 O
0.498 0.815 0.009 O
0.502 0.185 0.009 O
0.502 0.317 0.336 O
0.572 0.239 0.839 O
0.668 0.428 0.172 O
0.683 0.185 0.002 O
0.683 0.498 0.343 O
0.739 0.765 0.761 O
0.745 0.993 0.571 O
0.752 0.745 0.904 O
0.761 0.332 0.506 O
0.765 0.026 0.428 O
0.815 0.317 0.676 O
0.815 0.498 0.669 O
0.974 0.739 0.094 O
0.993 0.248 0.238 O
```

=====

Entry 3:
The following is a calculated powder diffraction line list of Ca2Ni21B6. It was derived from the PBE geometry in the Materials Project, using Cu Kα (weighted mean of Kα1 and Kα2).

Most intense lines, 15° ≤ 2θ ≤ 90°, most intense first:
44.1 deg, rel. 100
50.6 deg, rel. 24
37.7 deg, rel. 22
41.4 deg, rel. 21
75.5 deg, rel. 20
51.3 deg, rel. 15
48.2 deg, rel. 14
77.4 deg, rel. 11
33.6 deg, rel. 8
73.1 deg, rel. 7

Structural model:
```
Ca2Ni21B6
1.0
0.000 5.340 5.340
5.340 0.000 5.340
5.340 5.340 0.000
Ca Ni B
2 21 6
Direct
0.250 0.250 0.250 Ca
0.750 0.750 0.750 Ca
0.000 0.000 0.000 Ni
0.000 0.000 0.335 Ni
0.000 0.000 0.665 Ni
0.000 0.335 0.000 Ni
0.000 0.335 0.665 Ni
0.000 0.665 0.000 Ni
0.000 0.665 0.335 Ni
0.164 0.612 0.612 Ni
0.335 0.000 0.000 Ni
0.335 0.000 0.665 Ni
0.335 0.665 0.000 Ni
0.388 0.388 0.388 Ni
0.388 0.388 0.836 Ni
0.388 0.836 0.388 Ni
0.612 0.164 0.612 Ni
0.612 0.612 0.164 Ni
0.612 0.612 0.612 Ni
0.665 0.000 0.000 Ni
0.665 0.000 0.335 Ni
0.665 0.335 0.000 Ni
0.836 0.388 0.388 Ni
0.272 0.272 0.728 B
0.272 0.728 0.272 B
0.272 0.728 0.728 B
0.728 0.272 0.272 B
0.728 0.272 0.728 B
0.728 0.728 0.272 B
```

=====

Entry 4:
The following is a calculated powder diffraction line list of Tm4Fe34C3. It was derived from the PBE geometry in the Materials Project, using Cu Kα (weighted mean of Kα1 and Kα2).

Most intense lines, 15° ≤ 2θ ≤ 90°, most intense first:
42.5 deg, rel. 100
43.9 deg, rel. 64
42.9 deg, rel. 63
42.8 deg, rel. 63
36.5 deg, rel. 54
42.1 deg, rel. 44
30.0 deg, rel. 43
42.2 deg, rel. 42
37.8 deg, rel. 37
30.1 deg, rel. 27

Structural model:
```
Tm4Fe34C3
1.0
6.415 0.000 0.000
0.714 6.414 0.000
1.611 1.320 12.679
Tm Fe C
4 34 3
Direct
0.155 0.164 0.078 Tm
0.161 0.161 0.577 Tm
0.839 0.839 0.423 Tm
0.845 0.836 0.922 Tm
0.000 0.499 0.250 Fe
0.000 0.501 0.750 Fe
0.155 0.158 0.824 Fe
0.155 0.648 0.077 Fe
0.155 0.652 0.577 Fe
0.157 0.156 0.326 Fe
0.207 0.501 0.397 Fe
0.208 0.499 0.896 Fe
0.216 0.784 0.250 Fe
0.216 0.784 0.750 Fe
0.349 0.844 0.423 Fe
0.351 0.843 0.922 Fe
0.404 0.402 0.203 Fe
0.404 0.405 0.700 Fe
0.497 0.001 0.749 Fe
0.499 0.216 0.892 Fe
0.500 0.207 0.397 Fe
0.500 0.500 0.000 Fe
0.500 0.500 0.500 Fe
0.500 0.793 0.603 Fe
0.501 0.784 0.108 Fe
0.503 0.999 0.251 Fe
0.596 0.595 0.300 Fe
0.596 0.598 0.797 Fe
0.649 0.157 0.078 Fe
0.651 0.156 0.577 Fe
0.784 0.216 0.250 Fe
0.784 0.216 0.750 Fe
0.792 0.501 0.104 Fe
0.793 0.499 0.603 Fe
0.843 0.844 0.674 Fe
0.845 0.348 0.423 Fe
0.845 0.352 0.923 Fe
0.845 0.842 0.176 Fe
0.001 0.001 0.251 C
0.500 0.000 0.000 C
0.999 0.999 0.749 C
```

=====

Entry 5:
The following is a calculated powder diffraction line list of NiTe2Pd2. It was derived from the PBE geometry in the Materials Project, using Cu Kα (weighted mean of Kα1 and Kα2).

Most intense lines, 15° ≤ 2θ ≤ 90°, most intense first:
47.3 deg, rel. 100
34.0 deg, rel. 98
49.0 deg, rel. 95
34.7 deg, rel. 89
31.1 deg, rel. 84
40.8 deg, rel. 77
38.5 deg, rel. 70
45.2 deg, rel. 54
42.4 deg, rel. 51
27.1 deg, rel. 40

Structural model:
```
NiTe2Pd2
1.0
-3.186 5.744 2.584
3.186 -5.744 2.584
3.186 5.744 -2.584
Ni Te Pd
2 4 4
Direct
0.250 0.250 0.000 Ni
0.750 0.750 0.000 Ni
0.146 0.220 0.367 Te
0.354 0.720 0.074 Te
0.646 0.280 0.926 Te
0.854 0.780 0.633 Te
0.104 0.633 0.737 Pd
0.396 0.133 0.529 Pd
0.604 0.867 0.471 Pd
0.896 0.367 0.263 Pd
```

=====

Entry 6:
The following is a calculated powder diffraction line list of CeTlPd. It was derived from the PBE geometry in the Materials Project, using Cu Kα (weighted mean of Kα1 and Kα2).

Most intense lines, 15° ≤ 2θ ≤ 90°, most intense first:
34.6 deg, rel. 100
32.0 deg, rel. 78
39.5 deg, rel. 27
63.8 deg, rel. 27
41.7 deg, rel. 23
58.7 deg, rel. 20
45.7 deg, rel. 17
62.0 deg, rel. 15
53.5 deg, rel. 13
22.5 deg, rel. 10

Structural model:
```
CeTlPd
1.0
7.902 0.000 0.000
-3.951 6.843 0.000
0.000 0.000 3.967
Ce Tl Pd
3 3 3
Direct
0.000 0.592 0.000 Ce
0.408 0.408 0.000 Ce
0.592 0.000 0.000 Ce
0.000 0.261 0.500 Tl
0.261 0.000 0.500 Tl
0.739 0.739 0.500 Tl
0.000 0.000 0.000 Pd
0.333 0.667 0.500 Pd
0.667 0.333 0.500 Pd
```